Computed X-ray powder pattern
Compound: Pm3Hg2Ge
Radiation: Cu Ka
Structure: a cell relaxed with GGA-PBE
Kinematic intensities with the Lorentz-polarization factor, no thermal factor.

Cell lengths 8.1303, 8.1303, 8.2326 Å; angles 98.70, 98.70, 41.68 degrees
Element x y z (fractional)
Pm (0.0003, 0.9997, 0.2500)
Pm (0.9997, 0.0003, 0.7500)
Pm (0.3598, 0.3607, 0.4663)
Pm (0.3607, 0.3598, 0.9663)
Pm (0.6393, 0.6402, 0.0337)
Pm (0.6402, 0.6393, 0.5337)
Hg (0.1948, 0.1959, 0.1769)
Hg (0.1959, 0.1948, 0.6769)
Hg (0.8041, 0.8052, 0.3231)
Hg (0.8052, 0.8041, 0.8231)
Ge (0.5004, 0.4996, 0.2500)
Ge (0.4996, 0.5004, 0.7500)

The 10 most intense peaks (10 to 90 degrees two-theta), low angle first:
| two_theta | I_rel |
| --- | --- |
| 26.61 | 33 |
| 28.25 | 83 |
| 29.70 | 100 |
| 30.91 | 99 |
| 33.66 | 59 |
| 34.32 | 63 |
| 35.93 | 25 |
| 43.40 | 72 |
| 46.87 | 29 |
| 48.14 | 35 |